(1)
# Ta5Nb4Sn2
Simulated powder X-ray diffraction pattern, a wavelength of 1.5418 Å. Input: a structure optimized by DFT (GGA-PBE).
Kinematic intensities with the Lorentz-polarization factor, no thermal factor.

Main lines, by angle (2θ from 10° to 80°):
2θ = 37.19°, I 49; 2θ = 37.43°, I 100; 2θ = 38.17°, I 98; 2θ = 38.77°, I 48; 2θ = 53.68°, I 15; 2θ = 54.26°, I 18; 2θ = 55.91°, I 16; 2θ = 68.19°, I 15; 2θ = 68.66°, I 17; 2θ = 68.81°, I 16

Crystal structure
abc: 2.9495 7.3335 9.8420
angles: 89.86 82.39 82.22
Sites, in units of the cell vectors:
Ta: 0.0000 0.0000 0.0000
Ta: 0.1733 0.3628 0.0932
Ta: 0.3185 0.5611 0.6476
Ta: 0.6815 0.4389 0.3524
Ta: 0.8267 0.6372 0.9068
Nb: 0.3633 0.7228 0.1711
Nb: 0.4866 0.9165 0.7285
Nb: 0.5134 0.0835 0.2715
Nb: 0.6367 0.2772 0.8289
Sn: 0.1026 0.2071 0.5557
Sn: 0.8974 0.7929 0.4443


(2)
# AcPmHo5
Simulated powder X-ray diffraction pattern, a wavelength of 1.5418 Å. Input: a structure optimized by DFT (GGA-PBE).
Kinematic intensities with the Lorentz-polarization factor, no thermal factor.

Main lines, by angle (2θ from 10° to 80°):
2θ = 24.99°, I 13; 2θ = 28.50°, I 16; 2θ = 31.19°, I 45; 2θ = 31.44°, I 100; 2θ = 31.84°, I 29; 2θ = 32.21°, I 35; 2θ = 32.41°, I 28; 2θ = 45.87°, I 11; 2θ = 55.65°, I 13; 2θ = 56.13°, I 12

Crystal structure
abc: 6.6458 6.6458 11.5167
angles: 103.46 103.46 95.40
Sites, in units of the cell vectors:
Ac: 0.0000 0.5000 0.0000
Ac: 0.5000 0.0000 0.5000
Pm: 0.2333 0.7667 0.7500
Pm: 0.7667 0.2333 0.2500
Ho: 0.0519 0.2039 0.6672
Ho: 0.2039 0.0519 0.1672
Ho: 0.2281 0.4366 0.4648
Ho: 0.4264 0.5736 0.2500
Ho: 0.4366 0.2281 0.9648
Ho: 0.5634 0.7719 0.0352
Ho: 0.5736 0.4264 0.7500
Ho: 0.7719 0.5634 0.5352
Ho: 0.7961 0.9481 0.8328
Ho: 0.9481 0.7961 0.3328


(3)
# BeRe2Tc
Simulated powder X-ray diffraction pattern, a wavelength of 1.5418 Å. Input: a structure optimized by DFT (GGA-PBE).
Kinematic intensities with the Lorentz-polarization factor, no thermal factor.

Main lines, by angle (2θ from 10° to 80°):
2θ = 17.04°, I 53; 2θ = 29.05°, I 53; 2θ = 36.83°, I 28; 2θ = 40.32°, I 100; 2θ = 42.05°, I 86; 2θ = 44.07°, I 20; 2θ = 47.74°, I 31; 2θ = 48.03°, I 59; 2θ = 68.44°, I 15; 2θ = 70.05°, I 38

Crystal structure
abc: 2.7629 3.8100 5.2047
angles: 90.00 90.00 90.00
Sites, in units of the cell vectors:
Be: 0.0000 0.0000 0.0000
Re: 0.0000 0.0000 0.4997
Re: 0.5000 0.5000 0.2365
Tc: 0.5000 0.5000 0.7724


(4)
# Tl4Co3
Simulated powder X-ray diffraction pattern, a wavelength of 1.5418 Å. Input: a structure optimized by DFT (GGA-PBE).
Kinematic intensities with the Lorentz-polarization factor, no thermal factor.

Main lines, by angle (2θ from 10° to 80°):
2θ = 24.32°, I 21; 2θ = 33.84°, I 100; 2θ = 35.47°, I 58; 2θ = 38.05°, I 29; 2θ = 43.48°, I 24; 2θ = 49.83°, I 13; 2θ = 55.08°, I 24; 2θ = 62.65°, I 34; 2θ = 67.40°, I 15; 2θ = 75.07°, I 12

Crystal structure
abc: 5.0613 5.0613 6.6496
angles: 90.00 90.00 120.00
Sites, in units of the cell vectors:
Tl: 0.0000 0.0000 0.2264
Tl: 0.0000 0.0000 0.7736
Tl: 0.3333 0.6667 0.5000
Tl: 0.6667 0.3333 0.5000
Co: 0.0000 0.5000 0.0000
Co: 0.5000 0.0000 0.0000
Co: 0.5000 0.5000 0.0000


Repeat the second record exactly.
# AcPmHo5
Simulated powder X-ray diffraction pattern, a wavelength of 1.5418 Å. Input: a structure optimized by DFT (GGA-PBE).
Kinematic intensities with the Lorentz-polarization factor, no thermal factor.

Main lines, by angle (2θ from 10° to 80°):
2θ = 24.99°, I 13; 2θ = 28.50°, I 16; 2θ = 31.19°, I 45; 2θ = 31.44°, I 100; 2θ = 31.84°, I 29; 2θ = 32.21°, I 35; 2θ = 32.41°, I 28; 2θ = 45.87°, I 11; 2θ = 55.65°, I 13; 2θ = 56.13°, I 12

Crystal structure
abc: 6.6458 6.6458 11.5167
angles: 103.46 103.46 95.40
Sites, in units of the cell vectors:
Ac: 0.0000 0.5000 0.0000
Ac: 0.5000 0.0000 0.5000
Pm: 0.2333 0.7667 0.7500
Pm: 0.7667 0.2333 0.2500
Ho: 0.0519 0.2039 0.6672
Ho: 0.2039 0.0519 0.1672
Ho: 0.2281 0.4366 0.4648
Ho: 0.4264 0.5736 0.2500
Ho: 0.4366 0.2281 0.9648
Ho: 0.5634 0.7719 0.0352
Ho: 0.5736 0.4264 0.7500
Ho: 0.7719 0.5634 0.5352
Ho: 0.7961 0.9481 0.8328
Ho: 0.9481 0.7961 0.3328